Entry 1:
The following is a calculated X-ray diffraction stick pattern of PrSb2Au. It was derived from a DFT-relaxed cell (PBE, OQMD), using copper Kα.

Most intense lines, 2θ from 10° to 90°, most intense first:
d/Å  I_rel
2.690  100
2.226  34
1.358  24
1.688  16
2.591  15
1.574  12
2.326  8
1.345  8
1.514  7
3.376  7

Structural model:
abc: 4.451 4.451 10.362
angles: 90.00 90.00 90.00
Positions (direct):
Pr 0.250 0.250 0.245
Pr 0.750 0.750 0.755
Sb 0.250 0.250 0.678
Sb 0.250 0.750 0.000
Sb 0.750 0.250 0.000
Sb 0.750 0.750 0.322
Au 0.250 0.750 0.500
Au 0.750 0.250 0.500

Entry 2:
The following is a calculated X-ray diffraction stick pattern of Pr3Sb4Au3. It was derived from a DFT-relaxed cell (PBE, OQMD), using copper Kα.

Most intense lines, 2θ from 10° to 90°, most intense first:
d/Å  I_rel
2.707  100
2.265  48
4.135  27
1.849  15
1.986  15
2.068  14
1.378  14
1.462  11
1.602  11
1.405  11

Structural model:
abc: 8.772 8.772 8.772
angles: 109.47 109.47 109.47
Positions (direct):
Pr 0.125 0.875 0.250
Pr 0.250 0.125 0.875
Pr 0.375 0.625 0.750
Pr 0.625 0.750 0.375
Pr 0.750 0.375 0.625
Pr 0.875 0.250 0.125
Sb 0.000 0.172 0.500
Sb 0.000 0.672 0.500
Sb 0.172 0.500 0.000
Sb 0.328 0.328 0.328
Sb 0.500 0.000 0.172
Sb 0.500 0.000 0.672
Sb 0.672 0.500 0.000
Sb 0.828 0.828 0.828
Au 0.125 0.750 0.875
Au 0.250 0.625 0.375
Au 0.375 0.250 0.625
Au 0.625 0.375 0.250
Au 0.750 0.875 0.125
Au 0.875 0.125 0.750

Entry 3:
The following is a calculated X-ray diffraction stick pattern of PrSm2Si4Au4. It was derived from a DFT-relaxed cell (PBE, OQMD), using copper Kα.

Most intense lines, 2θ from 10° to 90°, most intense first:
d/Å  I_rel
2.721  100
2.750  26
2.139  19
2.127  19
3.253  16
2.020  16
4.209  15
1.397  13
1.508  13
1.322  11

Structural model:
abc: 12.961 12.961 12.961
angles: 161.11 161.00 26.91
Positions (direct):
Pr 0.000 0.000 0.000
Sm 0.352 0.852 0.500
Sm 0.648 0.148 0.500
Si 0.191 0.691 0.500
Si 0.453 0.453 0.000
Si 0.547 0.547 0.000
Si 0.809 0.309 0.500
Au 0.095 0.595 0.500
Au 0.251 0.251 0.000
Au 0.749 0.749 0.000
Au 0.905 0.405 0.500

Entry 4:
The following is a calculated X-ray diffraction stick pattern of Tb2PrSi4Au4. It was derived from a DFT-relaxed cell (PBE, OQMD), using copper Kα.

Most intense lines, 2θ from 10° to 90°, most intense first:
d/Å  I_rel
2.701  100
2.101  25
2.732  22
2.128  19
1.495  16
4.196  14
2.015  14
1.392  13
3.226  12
1.315  11

Structural model:
abc: 12.934 12.934 12.934
angles: 161.30 161.06 26.74
Positions (direct):
Tb 0.148 0.148 0.000
Tb 0.852 0.852 0.000
Pr 0.500 0.000 0.500
Si 0.048 0.548 0.500
Si 0.309 0.309 0.000
Si 0.691 0.691 0.000
Si 0.952 0.452 0.500
Au 0.248 0.748 0.500
Au 0.404 0.404 0.000
Au 0.596 0.596 0.000
Au 0.752 0.252 0.500

Q: What is the formula in the fourth record?
A: Tb2PrSi4Au4